PmSm4Ho2Mg: computed powder diffraction line list (λ = 1.5418 Å (Cu Kα)), based on DFT lattice parameters and positions (PBE).
Kinematic intensities with the Lorentz-polarization factor, no thermal factor.

The 6 most intense peaks (2θ = 10–90°), sorted by position:
hkl 2 0 0, 2θ = 30.8°, intensity 56
hkl 1 1 2, 2θ = 32.1°, intensity 100
hkl 2 2 0, 2θ = 44.1°, intensity 21
hkl 3 1 2, 2θ = 55.6°, intensity 42
hkl 2 0 4, 2θ = 58.1°, intensity 18
hkl 2 2 4, 2θ = 67.2°, intensity 12

Cell and atoms:
```
PmSm4Ho2Mg
1.0
5.806 0.000 0.000
0.000 5.806 0.000
0.000 0.000 7.580
Pm Sm Ho Mg
1 4 2 1
Direct
0.000 0.000 0.000
0.000 0.500 0.243
0.000 0.500 0.757
0.500 0.000 0.243
0.500 0.000 0.757
0.000 0.000 0.500
0.500 0.500 0.500
0.500 0.500 0.000
```